# LiMn4O8
Calculated PXRD pattern, Cu Kα. Input: a crystal structure in Alexandria, relaxed with GGA+U.

Crystal structure
a = 10.1496 Å, b = 5.8170 Å, c = 5.8634 Å
α = 90.00°, β = 122.64°, γ = 90.00°
Space group Cm (No. 8)
Unique sites:
Li (0.0000, 0.0000, 0.0000) [2 per cell]
Mn (0.1321, 0.2521, 0.6359) [4 per cell]
Mn (0.3830, 0.0000, 0.6339) [2 per cell]
Mn (0.3836, 0.0000, 0.1380) [2 per cell]
O (0.1098, 0.5000, 0.8367) [2 per cell]
O (0.1288, 0.0000, 0.8485) [2 per cell]
O (0.1396, 0.5000, 0.4327) [2 per cell]
O (0.1523, 0.0000, 0.4296) [2 per cell]
O (0.3624, 0.2236, 0.8644) [4 per cell]
O (0.4060, 0.2214, 0.4120) [4 per cell]

The 10 most intense peaks (2θ = 15–90°), low angle first:
hkl 0 0 1, 4.937 Å, 17.97°, rel. 67
hkl 1 1 0, 4.809 Å, 18.45°, rel. 100
hkl 2 0 -1, 4.732 Å, 18.75°, rel. 49
hkl 3 1 0, 2.559 Å, 35.07°, rel. 17
hkl 0 2 1, 2.506 Å, 35.83°, rel. 13
hkl 2 2 -1, 2.476 Å, 36.29°, rel. 29
hkl 4 0 0, 2.137 Å, 42.30°, rel. 39
hkl 2 2 -2, 2.064 Å, 43.87°, rel. 71
hkl 2 2 2, 1.509 Å, 61.46°, rel. 21
hkl 6 2 -2, 1.461 Å, 63.69°, rel. 20